Record 1
# NaSr3Al
Computed powder diffraction line list, Cu Ka. Input: a PBE-relaxed structure.

Crystal structure
```
NaSr3Al
1.0
9.5190 0.0000 0.0000
0.0000 7.7923 0.0000
-3.3039 0.0000 11.1418
Na Sr Al
4 12 4
direct
0.2193 0.0238 0.2740
0.2193 0.4762 0.7740
0.7807 0.5238 0.2260
0.7807 0.9762 0.7260
0.0406 0.7416 0.0147
0.0406 0.7584 0.5147
0.2708 0.5199 0.3346
0.2708 0.9801 0.8346
0.4156 0.1712 0.5917
0.4156 0.3288 0.0917
0.5844 0.6712 0.9083
0.5844 0.8288 0.4083
0.7292 0.0199 0.1654
0.7292 0.4801 0.6654
0.9594 0.2416 0.4853
0.9594 0.2584 0.9853
0.3988 0.7242 0.6134
0.3988 0.7758 0.1134
0.6012 0.2242 0.8866
0.6012 0.2758 0.3866
```

Most intense lines, 10 to 90 degrees two-theta, most intense first:
30.8 deg, intensity 100; 30.2 deg, intensity 100; 28.1 deg, intensity 91; 27.9 deg, intensity 81; 29.2 deg, intensity 79; 28.6 deg, intensity 66; 18.2 deg, intensity 45; 25.8 deg, intensity 41; 44.0 deg, intensity 38; 52.9 deg, intensity 30



Record 2
# Ac3ErSi2N6
Computed powder diffraction line list, Cu Ka. Input: a PBE-relaxed structure.

Crystal structure
```
Ac3ErSi2N6
1.0
5.9350 0.0000 0.0000
-2.9675 5.1398 0.0000
0.0000 0.0000 6.8258
Ac Er Si N
3 1 2 6
direct
0.0000 0.0000 0.0000
0.3333 0.6667 0.6587
0.6667 0.3333 0.3413
0.0000 0.0000 0.5000
0.3333 0.6667 0.2105
0.6667 0.3333 0.7895
0.1754 0.3508 0.2922
0.1754 0.8246 0.2922
0.3508 0.1754 0.7078
0.6492 0.8246 0.2922
0.8246 0.1754 0.7078
0.8246 0.6492 0.7078
```

Most intense lines, 10 to 90 degrees two-theta, most intense first:
30.1 deg, intensity 100; 31.5 deg, intensity 91; 21.6 deg, intensity 51; 44.1 deg, intensity 44; 54.3 deg, intensity 39; 37.4 deg, intensity 23; 53.5 deg, intensity 21; 71.8 deg, intensity 18; 56.9 deg, intensity 17; 73.9 deg, intensity 16



Record 3
# LaSm4Tm4
Computed powder diffraction line list, Cu Ka. Input: a PBE-relaxed structure.

Crystal structure
```
LaSm4Tm4
1.0
6.2447 0.0000 0.0000
1.0584 8.8518 0.0000
0.0194 2.1982 10.6065
La Sm Tm
2 8 8
direct
0.2479 0.0002 0.2488
0.7521 0.9998 0.7512
0.1364 0.6674 0.4741
0.3590 0.3329 0.6970
0.3610 0.3352 0.0265
0.3620 0.3348 0.3602
0.6380 0.6652 0.6398
0.6390 0.6648 0.9735
0.6410 0.6671 0.3030
0.8636 0.3326 0.5259
0.1344 0.6666 0.1362
0.1403 0.6667 0.8072
0.2483 0.9978 0.9176
0.2512 0.9983 0.5846
0.7488 0.0017 0.4154
0.7517 0.0022 0.0824
0.8597 0.3333 0.1928
0.8656 0.3334 0.8638
```

Most intense lines, 10 to 90 degrees two-theta, most intense first:
31.8 deg, intensity 100; 33.5 deg, intensity 88; 31.0 deg, intensity 50; 28.8 deg, intensity 37; 60.5 deg, intensity 30; 50.6 deg, intensity 26; 54.5 deg, intensity 22; 57.7 deg, intensity 19; 40.0 deg, intensity 15; 29.4 deg, intensity 14



Record 4
# Tl2VCdCl6
Computed powder diffraction line list, Cu Ka. Input: a PBE-relaxed structure.

Crystal structure
```
Tl2VCdCl6
1.0
7.1164 0.0000 0.0000
0.0000 7.2075 0.0000
-7.1073 0.0000 10.2324
Tl V Cd Cl
4 2 2 12
direct
0.2397 0.0508 0.2509
0.2397 0.4492 0.7509
0.7603 0.5508 0.2491
0.7603 0.9492 0.7491
0.5000 0.0000 0.0000
0.5000 0.5000 0.5000
0.0000 0.0000 0.5000
0.0000 0.5000 0.0000
0.1852 0.1994 0.9689
0.1852 0.3006 0.4689
0.2728 0.7160 0.9703
0.2728 0.7840 0.4703
0.3221 0.0023 0.7594
0.3221 0.4977 0.2594
0.6779 0.5023 0.7406
0.6779 0.9977 0.2406
0.7272 0.2160 0.5297
0.7272 0.2840 0.0297
0.8148 0.6994 0.5311
0.8148 0.8006 0.0311
```

Most intense lines, 10 to 90 degrees two-theta, most intense first:
24.7 deg, intensity 100; 35.5 deg, intensity 30; 43.9 deg, intensity 24; 43.5 deg, intensity 22; 25.0 deg, intensity 22; 50.7 deg, intensity 21; 35.1 deg, intensity 21; 30.6 deg, intensity 17; 30.3 deg, intensity 13; 40.6 deg, intensity 12



Record 5
# La5HgOs2
Computed powder diffraction line list, Cu Ka. Input: a PBE-relaxed structure.

Crystal structure
```
La5HgOs2
1.0
-4.0289 4.0289 7.1447
4.0289 -4.0289 7.1447
4.0289 4.0289 -7.1447
La Hg Os
10 2 4
direct
0.0000 0.0000 0.0000
0.0336 0.5336 0.8245
0.2091 0.0336 0.5000
0.2909 0.7909 0.8245
0.4664 0.2909 0.5000
0.5000 0.5000 0.0000
0.5336 0.7091 0.5000
0.7091 0.2091 0.1755
0.7909 0.9664 0.5000
0.9664 0.4664 0.1755
0.2500 0.2500 0.0000
0.7500 0.7500 0.0000
0.1382 0.3618 0.5000
0.3618 0.8618 0.2236
0.6382 0.1382 0.7764
0.8618 0.6382 0.5000
```

Most intense lines, 10 to 90 degrees two-theta, most intense first:
31.1 deg, intensity 100; 35.2 deg, intensity 70; 40.3 deg, intensity 41; 33.5 deg, intensity 32; 12.4 deg, intensity 25; 63.6 deg, intensity 25; 19.9 deg, intensity 18; 29.5 deg, intensity 18; 65.4 deg, intensity 16; 31.4 deg, intensity 15



Record 6
# FeCo7
Computed powder diffraction line list, Cu Ka. Input: a PBE-relaxed structure.

Crystal structure
```
FeCo7
1.0
2.5066 0.0000 0.0000
0.0000 4.9997 0.0000
0.0000 0.0000 7.0411
Fe Co
1 7
direct
0.0000 0.0000 0.0000
0.0000 0.0000 0.5000
0.0000 0.5000 0.0000
0.0000 0.5000 0.5000
0.5000 0.2528 0.2537
0.5000 0.2528 0.7463
0.5000 0.7472 0.2537
0.5000 0.7472 0.7463
```

Most intense lines, 10 to 90 degrees two-theta, most intense first:
44.4 deg, intensity 100; 51.6 deg, intensity 31; 76.3 deg, intensity 17; 51.9 deg, intensity 15; 75.9 deg, intensity 4; 76.2 deg, intensity 4



Record 7
# K4Tm3PbO8
Computed powder diffraction line list, Cu Ka. Input: a PBE-relaxed structure.

Crystal structure
```
K4Tm3PbO8
1.0
3.4651 2.0006 6.2673
-3.4651 2.0006 6.2673
0.0000 -4.0012 6.2673
K Tm Pb O
4 3 1 8
direct
0.0000 0.0000 0.0000
0.0000 0.5000 0.5000
0.5000 0.0000 0.5000
0.5000 0.5000 0.0000
0.0000 0.0000 0.5000
0.0000 0.5000 0.0000
0.5000 0.0000 0.0000
0.5000 0.5000 0.5000
0.2131 0.7382 0.7382
0.2273 0.2273 0.2273
0.2618 0.2618 0.7869
0.2618 0.7869 0.2618
0.7382 0.2131 0.7382
0.7382 0.7382 0.2131
0.7727 0.7727 0.7727
0.7869 0.2618 0.2618
```

Most intense lines, 10 to 90 degrees two-theta, most intense first:
14.1 deg, intensity 100; 35.5 deg, intensity 92; 31.3 deg, intensity 72; 30.2 deg, intensity 40; 28.5 deg, intensity 34; 49.2 deg, intensity 32; 52.8 deg, intensity 29; 61.1 deg, intensity 24; 45.3 deg, intensity 20; 55.0 deg, intensity 20



Record 8
# Ba2GaSiPt6
Computed powder diffraction line list, Cu Ka. Input: a PBE-relaxed structure.

Crystal structure
```
Ba2GaSiPt6
1.0
6.6757 0.0000 0.0000
3.3330 5.8070 0.0000
3.3208 -1.9058 5.6591
Ba Ga Si Pt
2 1 1 6
direct
0.0842 0.2082 0.1236
0.9158 0.7918 0.8764
0.5000 0.5000 0.0000
0.5000 0.0000 0.5000
0.0125 0.2426 0.6417
0.3929 0.3491 0.3617
0.3958 0.7561 0.3602
0.6042 0.2439 0.6398
0.6071 0.6509 0.6383
0.9875 0.7574 0.3583
```

Most intense lines, 10 to 90 degrees two-theta, most intense first:
32.7 deg, intensity 100; 15.7 deg, intensity 70; 30.5 deg, intensity 56; 32.5 deg, intensity 50; 37.6 deg, intensity 44; 49.9 deg, intensity 38; 31.1 deg, intensity 35; 40.3 deg, intensity 27; 30.6 deg, intensity 27; 41.6 deg, intensity 27



Record 9
# Ac3P2
Computed powder diffraction line list, Cu Ka. Input: a PBE-relaxed structure.

Crystal structure
```
Ac3P2
1.0
3.7473 2.1635 7.2696
-3.7473 2.1635 7.2696
0.0000 -4.3270 7.2696
Ac P
6 4
direct
0.0770 0.7500 0.4230
0.2500 0.5770 0.9230
0.4230 0.0770 0.7500
0.5770 0.9230 0.2500
0.7500 0.4230 0.0770
0.9230 0.2500 0.5770
0.1631 0.1631 0.1631
0.3369 0.3369 0.3369
0.6631 0.6631 0.6631
0.8369 0.8369 0.8369
```

Most intense lines, 10 to 90 degrees two-theta, most intense first:
26.8 deg, intensity 100; 67.3 deg, intensity 28; 44.5 deg, intensity 26; 34.4 deg, intensity 25; 41.7 deg, intensity 25; 50.3 deg, intensity 23; 24.5 deg, intensity 23; 49.0 deg, intensity 22; 23.7 deg, intensity 14; 78.2 deg, intensity 10



Record 10
# CsTe2S
Computed powder diffraction line list, Cu Ka. Input: a PBE-relaxed structure.

Crystal structure
```
CsTe2S
1.0
6.4869 0.0000 0.0000
0.0000 6.4869 0.0000
0.0000 0.0000 17.2622
Cs Te S
4 8 4
direct
0.0000 0.2500 0.3750
0.0000 0.7500 0.6250
0.5000 0.2500 0.1250
0.5000 0.7500 0.8750
0.0000 0.0000 0.0000
0.0000 0.5000 0.0000
0.2500 0.2500 0.7500
0.2500 0.7500 0.2500
0.5000 0.0000 0.5000
0.5000 0.5000 0.5000
0.7500 0.2500 0.7500
0.7500 0.7500 0.2500
0.0000 0.2500 0.8750
0.0000 0.7500 0.1250
0.5000 0.2500 0.6250
0.5000 0.7500 0.3750
```

Most intense lines, 10 to 90 degrees two-theta, most intense first:
20.6 deg, intensity 100; 44.8 deg, intensity 70; 31.3 deg, intensity 68; 29.4 deg, intensity 67; 21.9 deg, intensity 62; 29.3 deg, intensity 40; 42.0 deg, intensity 25; 34.6 deg, intensity 23; 73.0 deg, intensity 23; 65.2 deg, intensity 22



Record 11
# LaNd3Cd
Computed powder diffraction line list, Cu Ka. Input: a PBE-relaxed structure.

Crystal structure
```
LaNd3Cd
1.0
6.6960 -1.9082 0.0000
6.6960 1.9082 0.0000
-0.6370 0.0000 13.0627
La Nd Cd
2 6 2
direct
0.2294 0.2294 0.2503
0.7706 0.7706 0.7497
0.0386 0.0386 0.6896
0.1459 0.1459 0.9487
0.3657 0.3657 0.5266
0.6343 0.6343 0.4734
0.8541 0.8541 0.0513
0.9614 0.9614 0.3104
0.4472 0.4472 0.8732
0.5528 0.5528 0.1268
```

Most intense lines, 10 to 90 degrees two-theta, most intense first:
31.4 deg, intensity 100; 32.1 deg, intensity 92; 30.6 deg, intensity 56; 29.9 deg, intensity 39; 57.7 deg, intensity 22; 54.5 deg, intensity 19; 55.8 deg, intensity 18; 47.7 deg, intensity 18; 42.2 deg, intensity 15; 33.0 deg, intensity 13



Record 12
# SrAcHg6
Computed powder diffraction line list, Cu Ka. Input: a PBE-relaxed structure.

Crystal structure
```
SrAcHg6
1.0
5.3653 0.0000 0.0000
0.0000 7.0860 0.0000
0.0000 0.0000 5.9300
Sr Ac Hg
1 1 6
direct
0.0000 0.0000 0.0000
0.5000 0.5000 0.7138
0.0000 0.2503 0.5165
0.0000 0.5000 0.0650
0.0000 0.7497 0.5165
0.5000 0.0000 0.6529
0.5000 0.2451 0.1984
0.5000 0.7549 0.1984
```

Most intense lines, 10 to 90 degrees two-theta, most intense first:
33.9 deg, intensity 100; 34.6 deg, intensity 43; 33.4 deg, intensity 35; 29.4 deg, intensity 23; 60.0 deg, intensity 20; 64.2 deg, intensity 18; 53.1 deg, intensity 16; 63.6 deg, intensity 15; 45.1 deg, intensity 15; 30.1 deg, intensity 12



Record 13
# Mg8Sb
Computed powder diffraction line list, Cu Ka. Input: a PBE-relaxed structure.

Crystal structure
```
Mg8Sb
1.0
-4.8433 4.8433 2.2248
4.8433 -4.8433 2.2248
4.8433 4.8433 -2.2248
Mg Sb
8 1
direct
0.0000 0.3358 0.3358
0.0000 0.6642 0.6642
0.3319 0.3319 0.6637
0.3319 0.6681 0.0000
0.3358 0.0000 0.3358
0.6642 0.0000 0.6642
0.6681 0.3319 0.0000
0.6681 0.6681 0.3363
0.0000 0.0000 0.0000
```

Most intense lines, 10 to 90 degrees two-theta, most intense first:
34.3 deg, intensity 100; 12.9 deg, intensity 41; 39.5 deg, intensity 34; 28.8 deg, intensity 27; 22.0 deg, intensity 26; 68.3 deg, intensity 25; 57.9 deg, intensity 21; 18.3 deg, intensity 20; 40.5 deg, intensity 16; 29.2 deg, intensity 13